Diffraction record for LiMo2Rh. The PXRD pattern is computed, not measured: it uses a structure optimized by DFT (PBE) and Cu Ka.
Intensities are scaled so that the largest is 100.

Largest 8 diffraction maxima, in order of rising 2θ, 2θ = 10–80°:
2θ/deg  I_rel  (hkl)
17.6  32  0 0 1
20.9  34  0 1 0
27.4  38  0 1 1
40.0  53  1 0 1
41.6  100  0 1 2
42.0  94  1 1 -1
42.5  48  0 2 0
59.8  32  1 2 1

Structure:
```
data_LiMo2Rh
_cell_length_a 2.6940
_cell_length_b 4.2587
_cell_length_c 5.0842
_cell_angle_alpha 90.00
_cell_angle_beta 96.98
_cell_angle_gamma 90.00
_space_group_name_H-M_alt 'P 1 m 1'
_space_group_IT_number 6
loop_
_space_group_symop_operation_xyz
'x,y,z'
'x,-y,z'
loop_
_atom_site_label
_atom_site_fract_x
_atom_site_fract_y
_atom_site_fract_z
_atom_site_occupancy
Li1 0.0000 0.0000 0.0000 1
Mo1 0.4759 0.0000 0.5038 1
Mo2 0.6765 0.5000 0.2279 1
Rh1 0.1381 0.5000 0.7493 1
```